(1)
For Ac5CoOs, DFT lattice parameters and positions (PBE) gives the theoretical XRD peak list in this record (Cu Kα (λ = 1.5418 Å)).
No peak broadening, texture or thermal motion is included.

Main lines, low angle first (10° ≤ 2θ ≤ 90°):
(hkl)  2θ (°)  I_rel
1 1 1  17.10  38
2 0 -2  19.11  38
0 2 2  25.75  96
3 1 -2  26.81  57
2 0 2  28.55  82
1 3 -1  30.43  100
5 1 -1  42.22  75
6 0 -4  51.31  40

Crystal structure
```
data_Ac5CoOs
_chemical_formula_sum 'Ac20 Co4 Os4'
_cell_length_a 11.1987
_cell_length_b 9.2900
_cell_length_c 11.1894
_cell_angle_alpha 90.00
_cell_angle_beta 112.09
_cell_angle_gamma 90.00
_symmetry_space_group_name_H-M 'C 1 2/c 1'
_symmetry_Int_Tables_number 15
loop_
_symmetry_equiv_pos_as_xyz
'x,y,z'
'-x,-y,-z'
'-x,y,-z+1/2'
'x,-y,z+1/2'
'x+1/2,y+1/2,z'
'-x+1/2,-y+1/2,-z'
'-x+1/2,y+1/2,-z+1/2'
'x+1/2,-y+1/2,z+1/2'
loop_
_atom_site_label
_atom_site_fract_x
_atom_site_fract_y
_atom_site_fract_z
Ac1 0.0000 0.2501 0.2500
Ac2 0.1046 0.1796 0.6539
Ac3 0.1812 0.4513 0.9981
Co1 0.0000 0.4264 0.7500
Os1 0.2500 0.2500 0.5000
```

(2)
For AcCo4P4, DFT lattice parameters and positions (PBE) gives the theoretical XRD peak list in this record (Cu Kα (λ = 1.5418 Å)).
No peak broadening, texture or thermal motion is included.

Main lines, low angle first (10° ≤ 2θ ≤ 90°):
(hkl)  2θ (°)  I_rel
1 0 1  23.46  71
2 2 0  32.61  25
1 2 1  33.01  100
1 3 0  36.59  84
0 0 2  41.56  34
3 2 1  47.09  45
1 3 2  56.55  46
3 4 1  63.61  27

Crystal structure
```
data_AcCo4P4
_chemical_formula_sum 'Ac2 Co8 P8'
_cell_length_a 7.7668
_cell_length_b 7.7668
_cell_length_c 4.3457
_cell_angle_alpha 90.00
_cell_angle_beta 90.00
_cell_angle_gamma 90.00
_symmetry_space_group_name_H-M 'I 4/m'
_symmetry_Int_Tables_number 87
_symmetry_space_group_name_Hall '-I 4'
loop_
_atom_site_label
_atom_site_fract_x
_atom_site_fract_y
_atom_site_fract_z
Ac1 0.0000 0.0000 0.0000
Co1 0.1163 0.6218 0.5000
P1 0.1554 0.3042 0.5000
```

(3)
For Ac12Co5P, DFT lattice parameters and positions (PBE) gives the theoretical XRD peak list in this record (Cu Kα (λ = 1.5418 Å)).
No peak broadening, texture or thermal motion is included.

Main lines, low angle first (10° ≤ 2θ ≤ 90°):
(hkl)  2θ (°)  I_rel
0 0 4  26.32  36
1 3 -2  26.51  100
1 3 2  28.64  89
2 0 -4  32.76  27
0 6 0  42.38  56
2 0 5  45.18  22
3 3 3  50.58  38
4 0 1  51.96  18

Crystal structure
```
data_Ac12Co5P
_chemical_formula_sum 'Ac24 Co10 P2'
_cell_length_a 7.3895
_cell_length_b 12.7918
_cell_length_c 13.7736
_cell_angle_alpha 90.00
_cell_angle_beta 100.42
_cell_angle_gamma 90.00
_symmetry_space_group_name_H-M 'C 1 2/m 1'
_symmetry_Int_Tables_number 12
loop_
_symmetry_equiv_pos_as_xyz
'x,y,z'
'-x,-y,-z'
'-x,y,-z'
'x,-y,z'
'x+1/2,y+1/2,z'
'-x+1/2,-y+1/2,-z'
'-x+1/2,y+1/2,-z'
'x+1/2,-y+1/2,z'
loop_
_atom_site_label
_atom_site_fract_x
_atom_site_fract_y
_atom_site_fract_z
Ac1 0.1147 0.0000 0.3810
Ac2 0.1332 0.3271 0.3811
Ac3 0.2012 0.5000 0.1134
Ac4 0.2068 0.1647 0.1122
Co1 0.0000 0.0000 0.0000
Co2 0.0000 0.1668 0.5000
Co3 0.0000 0.3333 0.0000
P1 0.0000 0.5000 0.5000
```

(4)
For Ac2Co5P4, DFT lattice parameters and positions (PBE) gives the theoretical XRD peak list in this record (Cu Kα (λ = 1.5418 Å)).
No peak broadening, texture or thermal motion is included.

Main lines, low angle first (10° ≤ 2θ ≤ 90°):
(hkl)  2θ (°)  I_rel
1 1 1  19.87  39
1 1 3  28.04  100
1 3 1  32.20  40
0 2 4  33.14  73
0 4 0  35.76  38
2 2 0  37.74  69
1 3 3  37.97  81
2 0 4  43.76  48

Crystal structure
```
data_Ac2Co5P4
_chemical_formula_sum 'Ac8 Co20 P16'
_cell_length_a 5.4161
_cell_length_b 10.0442
_cell_length_c 12.8227
_cell_angle_alpha 90.00
_cell_angle_beta 90.00
_cell_angle_gamma 90.00
_symmetry_space_group_name_H-M 'F m m m'
_symmetry_Int_Tables_number 69
_symmetry_space_group_name_Hall '-F 2 2'
loop_
_atom_site_label
_atom_site_fract_x
_atom_site_fract_y
_atom_site_fract_z
Ac1 0.0000 0.0000 0.1404
Co1 0.0000 0.0000 0.5000
Co2 0.2500 0.2500 0.0000
Co3 0.2500 0.2500 0.2500
P1 0.0000 0.1631 0.3738
```

(5)
For AcPa2Co, DFT lattice parameters and positions (PBE) gives the theoretical XRD peak list in this record (Cu Kα (λ = 1.5418 Å)).
No peak broadening, texture or thermal motion is included.

Main lines, low angle first (10° ≤ 2θ ≤ 90°):
(hkl)  2θ (°)  I_rel
0 0 9  26.50  62
1 0 1  29.09  100
0 1 2  29.55  48
0 1 8  37.62  87
1 0 10  41.81  54
1 1 0  51.29  46
1 1 9  58.65  44
0 1 17  60.01  31

Crystal structure
```
data_AcPa2Co
_chemical_formula_sum 'Ac3 Pa6 Co3'
_cell_length_a 3.5624
_cell_length_b 3.5624
_cell_length_c 30.2729
_cell_angle_alpha 90.00
_cell_angle_beta 90.00
_cell_angle_gamma 120.00
_symmetry_space_group_name_H-M 'R -3 m'
_symmetry_Int_Tables_number 166
_symmetry_space_group_name_Hall '-R 3 2"'
loop_
_atom_site_label
_atom_site_fract_x
_atom_site_fract_y
_atom_site_fract_z
Ac1 0.0000 0.0000 0.0000
Pa1 0.0000 0.0000 0.1128
Co1 0.0000 0.0000 0.5000
```

(6)
For Ac12PaCo7, DFT lattice parameters and positions (PBE) gives the theoretical XRD peak list in this record (Cu Kα (λ = 1.5418 Å)).
No peak broadening, texture or thermal motion is included.

Main lines, low angle first (10° ≤ 2θ ≤ 90°):
(hkl)  2θ (°)  I_rel
1 3 1  26.36  80
0 0 3  26.65  26
4 -1 2  30.62  100
5 2 0  43.66  38
1 3 4  44.03  35
5 2 3  51.89  26
2 6 2  54.27  20
9 1 2  72.10  16

Crystal structure
```
data_Ac12PaCo7
_chemical_formula_sum 'Ac36 Pa3 Co21'
_cell_length_a 14.9487
_cell_length_b 14.9487
_cell_length_c 10.0356
_cell_angle_alpha 90.00
_cell_angle_beta 90.00
_cell_angle_gamma 120.00
_symmetry_space_group_name_H-M 'R -3'
_symmetry_Int_Tables_number 148
_symmetry_space_group_name_Hall '-R 3'
loop_
_atom_site_label
_atom_site_fract_x
_atom_site_fract_y
_atom_site_fract_z
Ac1 0.0211 0.4375 0.1604
Ac2 0.0470 0.8787 0.8196
Pa1 0.0000 0.0000 0.5000
Co1 0.0000 0.0000 0.0000
Co2 0.0452 0.8728 0.3588
```